Simulated X-ray powder pattern of GdErFe2 for Cu Kα (weighted mean of Kα1 and Kα2), from a crystal structure in OQMD, relaxed with PBE.

Crystal structure
```
data_GdErFe2
_chemical_formula_sum 'Gd2 Er2 Fe4'
_space_group_name_H-M_alt 'P m c 21'
_space_group_IT_number 26
_cell_length_a 3.8900
_cell_length_b 5.4851
_cell_length_c 7.6667
_cell_angle_alpha 90.00
_cell_angle_beta 90.00
_cell_angle_gamma 90.00
loop_
_space_group_symop_operation_xyz
'x,y,z'
'-x,-y,z+1/2'
'-x,y,z'
'x,-y,z+1/2'
loop_
_atom_site_label
_atom_site_type_symbol
_atom_site_fract_x
_atom_site_fract_y
_atom_site_fract_z
Gd1 Gd 0.0000 0.1411 0.0000
Er1 Er 0.5000 0.3577 0.6492
Fe1 Fe 0.0000 0.3355 0.3539
Fe2 Fe 0.5000 0.1787 0.2985
```

Most intense lines, 2θ from 10° to 90°, most intense first:
d_spacing  2theta  I/Imax
2.932  30.49  100.0
2.730  32.80  88.7
2.582  34.74  75.0
2.316  38.88  70.5
2.151  42.00  56.8
2.444  36.77  43.2
1.945  46.70  35.4
1.490  62.34  34.3
1.554  59.50  31.7
3.173  28.12  31.0

***

Simulated X-ray powder pattern of Ho3Fe6Co2Ni for Cu Kα (weighted mean of Kα1 and Kα2), from a crystal structure in OQMD, relaxed with PBE.

Crystal structure
```
data_Ho3Fe6Co2Ni
_chemical_formula_sum 'Ho9 Fe18 Co6 Ni3'
_space_group_name_H-M_alt 'R -3 m'
_space_group_IT_number 166
_space_group_name_Hall '-R 3 2"'
_cell_length_a 4.9809
_cell_length_b 4.9809
_cell_length_c 24.5580
_cell_angle_alpha 90.00
_cell_angle_beta 90.00
_cell_angle_gamma 120.00
loop_
_atom_site_label
_atom_site_type_symbol
_atom_site_fract_x
_atom_site_fract_y
_atom_site_fract_z
Ho1 Ho 0.0000 0.0000 0.0000
Ho2 Ho 0.0000 0.0000 0.1417
Fe1 Fe 0.0019 0.5010 0.9187
Co1 Co 0.0000 0.0000 0.3329
Ni1 Ni 0.0000 0.0000 0.5000
```

Most intense lines, 2θ from 10° to 90°, most intense first:
d_spacing  2theta  I/Imax
2.127  42.50  100.0
2.490  36.06  52.2
2.722  32.91  47.9
2.501  35.91  34.5
2.149  42.05  32.6
1.357  69.26  21.5
1.245  76.50  18.2
1.479  62.85  14.9
1.361  69.01  12.3
1.440  64.74  11.9

***

Simulated X-ray powder pattern of HoGe3Pt4 for Cu Kα (weighted mean of Kα1 and Kα2), from a crystal structure in OQMD, relaxed with PBE.

Crystal structure
```
data_HoGe3Pt4
_chemical_formula_sum 'Ho1 Ge3 Pt4'
_space_group_name_H-M_alt 'P 1 m 1'
_space_group_IT_number 6
_cell_length_a 5.5187
_cell_length_b 3.9735
_cell_length_c 6.6012
_cell_angle_alpha 90.00
_cell_angle_beta 92.60
_cell_angle_gamma 90.00
loop_
_space_group_symop_operation_xyz
'x,y,z'
'x,-y,z'
loop_
_atom_site_label
_atom_site_type_symbol
_atom_site_fract_x
_atom_site_fract_y
_atom_site_fract_z
Ho1 Ho 0.0000 0.0000 0.0000
Ge1 Ge 0.2279 0.0000 0.5247
Ge2 Ge 0.4705 0.5000 0.8832
Ge3 Ge 0.7392 0.5000 0.3551
Pt1 Pt 0.0333 0.5000 0.6945
Pt2 Pt 0.2024 0.5000 0.2801
Pt3 Pt 0.5241 0.0000 0.1508
Pt4 Pt 0.6691 0.0000 0.6241
```

Most intense lines, 2θ from 10° to 90°, most intense first:
d_spacing  2theta  I/Imax
2.537  35.37  100.0
2.336  38.54  88.1
2.166  41.69  81.5
2.118  42.69  73.3
1.987  45.66  65.2
2.275  39.62  61.8
3.223  27.67  57.5
2.503  35.87  36.5
1.792  50.95  27.2
2.757  32.48  25.0

***

Simulated X-ray powder pattern of Cd2AsP3Os2 for Cu Kα (weighted mean of Kα1 and Kα2), from a crystal structure in OQMD, relaxed with PBE.

Crystal structure
```
data_Cd2AsP3Os2
_chemical_formula_sum 'Cd4 As2 P6 Os4'
_space_group_name_H-M_alt 'C 1 2 1'
_space_group_IT_number 5
_cell_length_a 12.4113
_cell_length_b 5.7381
_cell_length_c 5.6246
_cell_angle_alpha 90.00
_cell_angle_beta 115.87
_cell_angle_gamma 90.00
loop_
_space_group_symop_operation_xyz
'x,y,z'
'-x,y,-z'
'x+1/2,y+1/2,z'
'-x+1/2,y+1/2,-z'
loop_
_atom_site_label
_atom_site_type_symbol
_atom_site_fract_x
_atom_site_fract_y
_atom_site_fract_z
Cd1 Cd 0.1315 0.0000 0.3666
As1 As 0.0000 0.3091 0.5000
P1 P 0.0000 0.7046 0.0000
P2 P 0.2501 0.2744 0.1889
Os1 Os 0.1287 0.5228 0.8815
```

Most intense lines, 2θ from 10° to 90°, most intense first:
d_spacing  2theta  I/Imax
3.240  27.53  100.0
3.281  27.18  95.6
2.001  45.33  53.2
2.008  45.15  34.0
2.869  31.17  18.1
2.812  31.83  17.0
1.726  53.07  16.6
1.963  46.25  16.5
2.792  32.06  15.4
1.697  54.02  15.1